[1]
The following is a calculated powder XRD pattern of Ca2In3Hg8. It was derived from a crystal structure in Alexandria, relaxed with PBE, using Cu Kα.

Crystal structure
```
data_Ca2In3Hg8
_chemical_formula_sum 'Ca2 In3 Hg8'
_symmetry_space_group_name_H-M 'P 1'
_symmetry_Int_Tables_number 1
_cell_length_a 8.263
_cell_length_b 8.263
_cell_length_c 6.382
_cell_angle_alpha 98.44
_cell_angle_beta 98.44
_cell_angle_gamma 57.52
loop_
_symmetry_equiv_pos_as_xyz
'x,y,z'
loop_
_atom_site_label
_atom_site_fract_x
_atom_site_fract_y
_atom_site_fract_z
Ca1 0.202 0.202 0.269
Ca2 0.798 0.798 0.731
In1 0.000 0.000 0.500
In2 0.194 0.806 0.000
In3 0.806 0.194 0.000
Hg1 0.200 0.569 0.535
Hg2 0.202 0.202 0.782
Hg3 0.389 0.389 0.077
Hg4 0.431 0.800 0.465
Hg5 0.569 0.200 0.535
Hg6 0.611 0.611 0.923
Hg7 0.798 0.798 0.218
Hg8 0.800 0.431 0.465
```

The 10 most intense peaks (2θ from 10° to 90°), low angle first:
2theta	I (rel.)
26.54	38
28.34	36
32.98	37
33.34	100
34.99	21
36.93	30
37.76	22
38.38	34
57.21	17
67.38	14

---

[2]
The following is a calculated powder XRD pattern of Tb2Pr6Sc3. It was derived from a crystal structure in Alexandria, relaxed with PBE, using Cu Kα.

Crystal structure
```
data_Tb2Pr6Sc3
_chemical_formula_sum 'Tb2 Pr6 Sc3'
_symmetry_space_group_name_H-M 'P 1'
_symmetry_Int_Tables_number 1
_cell_length_a 6.140
_cell_length_b 7.962
_cell_length_c 8.011
_cell_angle_alpha 107.34
_cell_angle_beta 97.70
_cell_angle_gamma 104.98
loop_
_symmetry_equiv_pos_as_xyz
'x,y,z'
loop_
_atom_site_label
_atom_site_fract_x
_atom_site_fract_y
_atom_site_fract_z
Tb1 0.233 0.414 0.052
Tb2 0.767 0.586 0.948
Pr1 0.049 0.685 0.410
Pr2 0.138 0.046 0.237
Pr3 0.324 0.772 0.867
Pr4 0.676 0.228 0.133
Pr5 0.862 0.954 0.763
Pr6 0.951 0.315 0.590
Sc1 0.413 0.142 0.680
Sc2 0.500 0.500 0.500
Sc3 0.587 0.858 0.320
```

The 10 most intense peaks (2θ from 10° to 90°), low angle first:
2theta	I (rel.)
30.62	34
30.78	100
35.46	23
35.64	23
35.84	22
51.20	16
51.40	16
60.77	9
60.87	9
61.06	18